# 1
# Tb2CdPb2
Theoretical powder diffraction line list, Cu Kα (λ = 1.5418 Å). Input: a DFT-relaxed cell (GGA-PBE, Alexandria).
No peak broadening, texture or thermal motion is included.

Largest 12 diffraction maxima, in order of rising 2θ, 2θ from 10° to 90°:
- 2θ = 24.6°, rel. 17.5
- 2θ = 28.6°, rel. 97.5
- 2θ = 33.5°, rel. 45.0
- 2θ = 36.5°, rel. 100.0
- 2θ = 39.1°, rel. 11.6
- 2θ = 45.0°, rel. 14.5
- 2θ = 47.0°, rel. 25.5
- 2θ = 50.4°, rel. 14.2
- 2θ = 60.9°, rel. 23.7
- 2θ = 63.8°, rel. 13.9
- 2θ = 65.7°, rel. 18.2
- 2θ = 66.5°, rel. 24.2

Structure:
Cell: 4.9252 4.9252 13.7104 Å, 90.00 90.00 120.00°
Fractional positions:
Tb 0.3333 0.6667 0.1052
Tb 0.3333 0.6667 0.3948
Tb 0.6667 0.3333 0.6052
Tb 0.6667 0.3333 0.8948
Cd 0.0000 0.0000 0.2500
Cd 0.0000 0.0000 0.7500
Pb 0.0000 0.0000 0.0000
Pb 0.0000 0.0000 0.5000
Pb 0.3333 0.6667 0.7500
Pb 0.6667 0.3333 0.2500


# 2
# PmSm5Cu6
Theoretical powder diffraction line list, Cu Kα (λ = 1.5418 Å). Input: a DFT-relaxed cell (GGA-PBE, Alexandria).
No peak broadening, texture or thermal motion is included.

Largest 12 diffraction maxima, in order of rising 2θ, 2θ from 10° to 90°:
- 2θ = 25.0°, rel. 16.8
- 2θ = 25.3°, rel. 8.1
- 2θ = 35.6°, rel. 51.0
- 2θ = 35.8°, rel. 100.0
- 2θ = 44.2°, rel. 7.6
- 2θ = 51.2°, rel. 17.8
- 2θ = 52.0°, rel. 8.5
- 2θ = 64.1°, rel. 35.5
- 2θ = 64.6°, rel. 17.3
- 2θ = 76.0°, rel. 10.7
- 2θ = 86.2°, rel. 7.8
- 2θ = 86.4°, rel. 7.8

Structure:
Cell: 7.9742 7.9742 7.0382 Å, 90.00 90.00 143.10°
Fractional positions:
Pm 0.0000 0.0000 0.0000
Sm 0.0000 0.0000 0.5000
Sm 0.3330 0.6670 0.0000
Sm 0.3336 0.6664 0.5000
Sm 0.6664 0.3336 0.5000
Sm 0.6670 0.3330 0.0000
Cu 0.1672 0.8328 0.2513
Cu 0.1672 0.8328 0.7487
Cu 0.5000 0.5000 0.2512
Cu 0.5000 0.5000 0.7488
Cu 0.8328 0.1672 0.2513
Cu 0.8328 0.1672 0.7487


# 3
# SrAl6Ag3
Theoretical powder diffraction line list, Cu Kα (λ = 1.5418 Å). Input: a DFT-relaxed cell (GGA-PBE, Alexandria).
No peak broadening, texture or thermal motion is included.

Largest 12 diffraction maxima, in order of rising 2θ, 2θ from 10° to 90°:
- 2θ = 16.9°, rel. 34.8
- 2θ = 19.0°, rel. 75.7
- 2θ = 20.3°, rel. 64.8
- 2θ = 26.5°, rel. 42.5
- 2θ = 28.2°, rel. 88.9
- 2θ = 36.4°, rel. 100.0
- 2θ = 37.6°, rel. 56.6
- 2θ = 38.5°, rel. 50.2
- 2θ = 39.0°, rel. 70.5
- 2θ = 39.1°, rel. 47.8
- 2θ = 41.2°, rel. 44.0
- 2θ = 42.0°, rel. 55.1

Structure:
Cell: 7.0938 7.2825 8.8377 Å, 90.00 120.78 90.00°
Fractional positions:
Sr 0.0000 0.0000 0.0000
Sr 0.0000 0.5000 0.5000
Al 0.1540 0.0090 0.6696
Al 0.1540 0.4910 0.1696
Al 0.2495 0.1722 0.4045
Al 0.2495 0.3278 0.9045
Al 0.4976 0.7404 0.2451
Al 0.4976 0.7596 0.7451
Al 0.5024 0.2404 0.2549
Al 0.5024 0.2596 0.7549
Al 0.7505 0.6722 0.0955
Al 0.7505 0.8278 0.5955
Al 0.8460 0.5090 0.8304
Al 0.8460 0.9910 0.3304
Ag 0.2142 0.6898 0.8798
Ag 0.2142 0.8102 0.3798
Ag 0.5000 0.0000 0.0000
Ag 0.5000 0.5000 0.5000
Ag 0.7858 0.1898 0.6202
Ag 0.7858 0.3102 0.1202